1.
For Pr2PaS5, a DFT-relaxed cell (GGA-PBE, Alexandria) gives the calculated XRD peak list in this record (CuKα).
Peak positions follow from Bragg's law for the DFT cell and can differ from measured ones.

Crystal structure
```
data_Pr2PaS5
_cell_length_a 5.436
_cell_length_b 13.842
_cell_length_c 13.542
_cell_angle_alpha 90.00
_cell_angle_beta 90.00
_cell_angle_gamma 90.00
_symmetry_space_group_name_H-M 'C m c m'
_symmetry_Int_Tables_number 63
_symmetry_space_group_name_Hall '-C 2c 2'
loop_
_atom_site_label
_atom_site_type_symbol
_atom_site_fract_x
_atom_site_fract_y
_atom_site_fract_z
Pr1 Pr 0.000 0.144 0.062
Pa1 Pa 0.000 0.192 0.750
S1 S 0.000 0.048 0.621
S2 S 0.000 0.261 0.250
S3 S 0.000 0.304 0.582
```

Top 12 peaks for 15 to 90 degrees two-theta, most intense first:
| (hkl) | d (Å) | Rel. int. |
| --- | --- | --- |
| 1 1 0 | 5.060 | 1000 |
| 0 2 3 | 3.781 | 996 |
| 1 1 3 | 3.368 | 748 |
| 1 3 0 | 3.518 | 572 |
| 2 0 0 | 2.718 | 544 |
| 0 4 3 | 2.746 | 536 |
| 2 2 3 | 2.207 | 468 |
| 2 4 3 | 1.932 | 377 |
| 1 5 3 | 2.165 | 372 |
| 1 1 1 | 4.740 | 353 |
| 1 3 4 | 2.439 | 250 |
| 1 5 2 | 2.318 | 233 |


2.
For Pr2GaCu6, a DFT-relaxed cell (GGA-PBE, Alexandria) gives the calculated XRD peak list in this record (CuKα).
Peak positions follow from Bragg's law for the DFT cell and can differ from measured ones.

Crystal structure
```
data_Pr2GaCu6
_cell_length_a 5.5625
_cell_length_b 5.5625
_cell_length_c 5.8174
_cell_angle_alpha 90.00
_cell_angle_beta 90.00
_cell_angle_gamma 120.00
_symmetry_space_group_name_H-M 'P -3 m 1'
_symmetry_Int_Tables_number 164
_symmetry_space_group_name_Hall '-P 3 2"'
loop_
_atom_site_label
_atom_site_type_symbol
_atom_site_fract_x
_atom_site_fract_y
_atom_site_fract_z
Pr1 Pr 0.3333 0.6667 0.3419
Ga1 Ga 0.0000 0.0000 0.5000
Cu1 Cu 0.1784 0.3569 0.8444
```

Top 12 peaks for 15 to 90 degrees two-theta, most intense first:
| (hkl) | d (Å) | Rel. int. |
| --- | --- | --- |
| 0 2 1 | 2.225 | 1000 |
| 1 0 2 | 2.490 | 751 |
| 1 1 1 | 2.509 | 499 |
| 2 2 0 | 1.391 | 306 |
| 2 1 2 | 1.543 | 225 |
| 1 1 0 | 2.781 | 183 |
| 2 0 0 | 2.409 | 180 |
| 2 1 3 | 1.327 | 167 |
| 1 1 3 | 1.591 | 148 |
| 1 3 2 | 1.214 | 132 |
| 0 1 1 | 3.710 | 127 |
| 3 0 1 | 1.548 | 126 |


3.
For NaH6Pd4, a DFT-relaxed cell (GGA-PBE, Alexandria) gives the calculated XRD peak list in this record (CuKα).
Peak positions follow from Bragg's law for the DFT cell and can differ from measured ones.

Crystal structure
```
data_NaH6Pd4
_cell_length_a 5.296
_cell_length_b 5.296
_cell_length_c 7.547
_cell_angle_alpha 90.00
_cell_angle_beta 90.00
_cell_angle_gamma 90.00
_symmetry_space_group_name_H-M 'I -4 2 m'
_symmetry_Int_Tables_number 121
_symmetry_space_group_name_Hall 'I -4 2'
loop_
_atom_site_label
_atom_site_type_symbol
_atom_site_fract_x
_atom_site_fract_y
_atom_site_fract_z
Na1 Na 0.000 0.000 0.000
H1 H 0.000 0.500 0.000
H2 H 0.152 0.152 0.316
Pd1 Pd 0.185 0.185 0.645
```

Top 12 peaks for 15 to 90 degrees two-theta, most intense first:
| (hkl) | d (Å) | Rel. int. |
| --- | --- | --- |
| 1 1 2 | 2.658 | 1000 |
| 2 1 1 | 2.260 | 616 |
| 2 0 0 | 2.648 | 296 |
| 1 0 1 | 4.335 | 199 |
| 1 0 3 | 2.272 | 179 |
| 3 0 1 | 1.719 | 163 |
| 4 1 1 | 1.266 | 151 |
| 3 0 3 | 1.445 | 151 |
| 2 2 2 | 1.677 | 139 |
| 2 1 5 | 1.273 | 128 |
| 3 2 3 | 1.269 | 123 |
| 2 0 4 | 1.537 | 119 |


4.
For Cs5AgBr4, a DFT-relaxed cell (GGA-PBE, Alexandria) gives the calculated XRD peak list in this record (CuKα).
Peak positions follow from Bragg's law for the DFT cell and can differ from measured ones.

Crystal structure
```
data_Cs5AgBr4
_cell_length_a 5.261
_cell_length_b 5.261
_cell_length_c 37.255
_cell_angle_alpha 90.00
_cell_angle_beta 90.00
_cell_angle_gamma 90.00
_symmetry_space_group_name_H-M 'I 4/m m m'
_symmetry_Int_Tables_number 139
_symmetry_space_group_name_Hall '-I 4 2'
loop_
_atom_site_label
_atom_site_type_symbol
_atom_site_fract_x
_atom_site_fract_y
_atom_site_fract_z
Cs1 Cs 0.000 0.000 0.000
Cs2 Cs 0.000 0.000 0.200
Cs3 Cs 0.000 0.000 0.398
Ag1 Ag 0.000 0.000 0.500
Br1 Br 0.000 0.000 0.101
Br2 Br 0.000 0.000 0.299
```

Top 12 peaks for 15 to 90 degrees two-theta, most intense first:
| (hkl) | d (Å) | Rel. int. |
| --- | --- | --- |
| 1 1 0 | 3.722 | 1000 |
| 2 0 0 | 2.632 | 790 |
| 3 1 0 | 1.664 | 384 |
| 2 0 10 | 2.149 | 290 |
| 3 1 10 | 1.519 | 283 |
| 2 2 0 | 1.861 | 138 |
| 3 1 20 | 1.241 | 107 |
| 4 0 0 | 1.316 | 87 |
| 4 2 0 | 1.176 | 84 |
| 3 3 0 | 1.240 | 73 |
| 4 2 10 | 1.122 | 73 |
| 1 0 5 | 4.297 | 66 |